Record 1
For Tb2VO6, DFT lattice parameters and positions (GGA+U) gives the simulated powder X-ray diffraction pattern in this record (Cu Ka).

Crystal structure
a b c (Å): 5.349 5.985 8.535
angles (deg): 90.00 121.24 90.00
Space group P2_1/c (No. 14)
Unique sites:
Tb (0.200, 0.098, 0.243) (multiplicity 4)
V (0.500, 0.000, 0.000) (multiplicity 2)
O (0.155, 0.154, 0.947) (multiplicity 4)
O (0.283, 0.726, 0.923) (multiplicity 4)
O (0.415, 0.058, 0.764) (multiplicity 4)

Top 6 peaks for 10° ≤ 2θ ≤ 90°, by angle:
2theta	I_rel
22.39	71
24.44	100
26.54	40
31.71	60
32.33	55
34.92	54

---

Record 2
For Tb2WO6, DFT lattice parameters and positions (GGA+U) gives the simulated powder X-ray diffraction pattern in this record (Cu Ka).

Crystal structure
a b c (Å): 7.741 5.422 11.526
angles (deg): 90.00 104.41 90.00
Space group P2/c (No. 13)
Unique sites:
Tb (0.000, 0.183, 0.250) (multiplicity 2)
Tb (0.294, 0.315, 0.923) (multiplicity 4)
Tb (0.500, 0.239, 0.250) (multiplicity 2)
W (0.224, 0.245, 0.615) (multiplicity 4)
O (0.009, 0.139, 0.886) (multiplicity 4)
O (0.135, 0.348, 0.453) (multiplicity 4)
O (0.210, 0.482, 0.228) (multiplicity 4)
O (0.289, 0.042, 0.772) (multiplicity 4)
O (0.348, 0.030, 0.070) (multiplicity 4)
O (0.439, 0.456, 0.604) (multiplicity 4)

Top 6 peaks for 10° ≤ 2θ ≤ 90°, by angle:
2theta	I_rel
28.41	99
29.11	100
31.90	20
33.04	24
34.98	20
48.91	34

---

Record 3
For Tb2W3O12, DFT lattice parameters and positions (GGA+U) gives the simulated powder X-ray diffraction pattern in this record (Cu Ka).

Crystal structure
a b c (Å): 7.776 11.466 11.438
angles (deg): 90.00 109.02 90.00
Space group C2/c (No. 15)
Unique sites:
Tb (0.165, 0.123, 0.093) (multiplicity 8)
W (0.000, 0.135, 0.750) (multiplicity 4)
W (0.146, 0.393, 0.550) (multiplicity 8)
O (0.053, 0.282, 0.439) (multiplicity 8)
O (0.068, 0.462, 0.926) (multiplicity 8)
O (0.132, 0.050, 0.458) (multiplicity 8)
O (0.132, 0.209, 0.895) (multiplicity 8)
O (0.167, 0.041, 0.719) (multiplicity 8)
O (0.216, 0.320, 0.702) (multiplicity 8)

Top 6 peaks for 10° ≤ 2θ ≤ 90°, by angle:
2theta	I_rel
27.73	100
29.27	73
31.20	27
33.65	17
46.55	22
46.95	22

---

Record 4
For TbW4O12, DFT lattice parameters and positions (GGA+U) gives the simulated powder X-ray diffraction pattern in this record (Cu Ka).

Crystal structure
a b c (Å): 7.551 7.837 7.855
angles (deg): 90.00 90.00 90.00
Space group Immm (No. 71)
Unique sites:
Tb (0.000, 0.000, 0.000) (multiplicity 2)
W (0.250, 0.250, 0.250) (multiplicity 8)
O (0.000, 0.294, 0.290) (multiplicity 8)
O (0.196, 0.000, 0.244) (multiplicity 8)
O (0.196, 0.239, 0.000) (multiplicity 8)

Top 6 peaks for 10° ≤ 2θ ≤ 90°, by angle:
2theta	I_rel
22.67	75
23.56	32
32.27	49
32.93	100
57.97	44
59.21	23

---

Record 5
For TbWO5, DFT lattice parameters and positions (GGA+U) gives the simulated powder X-ray diffraction pattern in this record (Cu Ka).

Crystal structure
a b c (Å): 5.324 12.792 7.072
angles (deg): 90.00 116.91 90.00
Space group P2_1/c (No. 14)
Unique sites:
Tb (0.137, 0.053, 0.289) (multiplicity 4)
W (0.369, 0.140, 0.857) (multiplicity 4)
O (0.043, 0.095, 0.576) (multiplicity 4)
O (0.140, 0.082, 0.963) (multiplicity 4)
O (0.294, 0.625, 0.407) (multiplicity 4)
O (0.319, 0.221, 0.323) (multiplicity 4)
O (0.496, 0.065, 0.674) (multiplicity 4)

Top 6 peaks for 10° ≤ 2θ ≤ 90°, by angle:
2theta	I_rel
13.85	48
19.95	100
25.90	67
27.38	88
28.13	44
31.53	57

---

Record 6
For Tb2WO6, DFT lattice parameters and positions (GGA+U) gives the simulated powder X-ray diffraction pattern in this record (Cu Ka).

Crystal structure
a b c (Å): 5.305 9.197 10.035
angles (deg): 90.00 90.00 90.00
Space group P2_12_12_1 (No. 19)
Unique sites:
Tb (0.018, 0.104, 0.465) (multiplicity 4)
Tb (0.039, 0.219, 0.871) (multiplicity 4)
W (0.039, 0.496, 0.349) (multiplicity 4)
O (0.087, 0.844, 0.031) (multiplicity 4)
O (0.173, 0.952, 0.298) (multiplicity 4)
O (0.181, 0.637, 0.819) (multiplicity 4)
O (0.191, 0.641, 0.237) (multiplicity 4)
O (0.231, 0.115, 0.068) (multiplicity 4)
O (0.247, 0.589, 0.494) (multiplicity 4)

Top 6 peaks for 10° ≤ 2θ ≤ 90°, by angle:
2theta	I_rel
25.64	34
26.30	62
27.16	100
33.12	66
33.79	34
53.52	30

---

Record 7
For TbWO5, DFT lattice parameters and positions (GGA+U) gives the simulated powder X-ray diffraction pattern in this record (Cu Ka).

Crystal structure
a b c (Å): 9.101 6.507 7.674
angles (deg): 90.00 114.70 90.00
Space group C2/c (No. 15)
Unique sites:
Tb (0.000, 0.050, 0.250) (multiplicity 4)
W (0.000, 0.500, 0.000) (multiplicity 4)
O (0.000, 0.423, 0.250) (multiplicity 4)
O (0.009, 0.208, 0.962) (multiplicity 8)
O (0.229, 0.483, 0.616) (multiplicity 8)

Top 6 peaks for 10° ≤ 2θ ≤ 90°, by angle:
2theta	I_rel
21.49	95
26.98	100
27.41	43
34.69	34
34.81	34
35.10	29

---

- Number 3 is which compound?
  Tb2W3O12